Record 1
Simulated XRD peak list of BeGaMo for Cu Kα, 1.54184 Å, from a PBE-relaxed structure.
Intensities are scaled so that the largest is 100.

Most intense lines, 2θ from 15° to 90°, by angle:
index  2θ/deg  I_rel
0 0 2  29.7  100
0 2 1  37.0  59
1 1 0  37.6  65
1 -1 0  38.5  80
0 2 2  42.0  74
1 -1 1  42.7  49
1 1 -1  43.0  62
1 1 2  44.3  73
0 2 -1  44.4  76
0 0 3  45.2  61
-1 1 2  47.1  55
-1 3 1  67.8  27

Structure:
a b c (Å): 2.730 4.920 6.228
angles (deg): 75.16 86.90 87.84
Space group P-1 (No. 2)
One atom of each set of equivalent atoms:
Be (0.006, 0.286, 0.499)
Ga (0.009, 0.903, 0.810)
Mo (0.468, 0.405, 0.813)

---

Record 2
Simulated XRD peak list of SrBeGaN2 for Cu Kα, 1.54184 Å, from a PBE-relaxed structure.
Intensities are scaled so that the largest is 100.

Most intense lines, 2θ from 15° to 90°, by angle:
index  2θ/deg  I_rel
0 1 1  26.0  52
1 1 0  27.1  66
0 0 2  27.8  87
1 1 -1  30.2  37
1 1 1  30.9  100
2 0 0  31.9  67
1 1 -2  38.7  35
2 1 -1  41.0  34
2 0 -2  41.7  39
2 0 2  43.8  42
1 2 0  47.6  59
1 2 -2  55.6  37

Structure:
a b c (Å): 5.625 4.061 6.416
angles (deg): 90.00 92.69 90.00
Space group P2/c (No. 13)
One atom of each set of equivalent atoms:
Sr (0.000, 0.222, 0.250)
Be (0.500, 0.000, 0.000)
Ga (0.500, 0.490, 0.750)
N (0.289, 0.240, 0.926)

---

Record 3
Simulated XRD peak list of NaBe2Ga2 for Cu Kα, 1.54184 Å, from a PBE-relaxed structure.
Intensities are scaled so that the largest is 100.

Most intense lines, 2θ from 15° to 90°, by angle:
index  2θ/deg  I_rel
1 0 1  24.3  100
1 1 0  32.4  94
0 0 4  34.2  19
1 0 3  34.4  100
2 0 0  46.4  45
1 1 4  47.8  44
1 0 5  49.3  39
2 1 1  53.0  23
2 0 4  58.9  16
2 1 3  59.0  40
2 1 5  70.0  26
3 1 4  87.1  16

Structure:
a b c (Å): 3.914 3.914 10.491
angles (deg): 90.00 90.00 90.00
Space group I4/mmm (No. 139)
One atom of each set of equivalent atoms:
Na (0.000, 0.000, 0.000)
Be (0.000, 0.500, 0.250)
Ga (0.000, 0.000, 0.376)

---

Record 4
Simulated XRD peak list of BeNb2Ga for Cu Kα, 1.54184 Å, from a PBE-relaxed structure.
Intensities are scaled so that the largest is 100.

Most intense lines, 2θ from 15° to 90°, by angle:
index  2θ/deg  I_rel
1 1 -1  21.9  34
2 0 0  24.3  23
0 2 0  29.6  45
3 1 -2  38.4  76
2 2 0  38.6  100
3 1 0  39.8  73
0 0 2  40.5  74
2 2 -2  44.6  69
1 3 0  46.8  23
5 1 -2  53.1  22
5 3 -2  70.2  26
0 0 4  87.4  22

Structure:
a b c (Å): 9.029 6.036 5.488
angles (deg): 90.00 125.66 90.00
Space group C2/c (No. 15)
One atom of each set of equivalent atoms:
Be (0.000, 0.199, 0.250)
Nb (0.201, 0.493, 0.246)
Ga (0.000, 0.183, 0.750)

---

Record 5
Simulated XRD peak list of Be16Nb2Ga for Cu Kα, 1.54184 Å, from a PBE-relaxed structure.
Intensities are scaled so that the largest is 100.

Most intense lines, 2θ from 15° to 90°, by angle:
index  2θ/deg  I_rel
1 0 1  15.9  12
0 1 2  21.3  13
1 1 0  23.8  100
0 0 3  24.5  15
1 1 3  34.4  47
1 0 4  35.8  23
3 0 0  41.8  33
0 2 4  43.4  17
2 2 0  48.6  25
0 3 3  49.0  26
2 1 4  50.1  19
4 1 0  66.0  12

Structure:
a b c (Å): 7.4923 7.4923 10.8829
angles (deg): 90.00 90.00 120.00
Space group R3m (No. 160, hexagonal axes)
One atom of each set of equivalent atoms:
Be (0.0000, 0.0000, 0.0484)
Be (0.0000, 0.3034, 0.1551)
Be (0.0048, 0.5024, 0.3124)
Be (0.0095, 0.5047, 0.6558)
Be (0.1734, 0.3468, 0.3333)
Nb (0.0000, 0.0000, 0.5014)
Nb (0.0000, 0.0000, 0.8153)
Ga (0.0000, 0.0000, 0.2540)